For EuPtO3, a DFT-relaxed cell (PBE, Alexandria) gives the calculated XRD peak list in this record (Cu Kα).
No peak broadening, texture or thermal motion is included.

Largest 8 diffraction maxima, by angle, 10° ≤ 2θ ≤ 80°:
- 2θ = 21.93°, d 4.053, I = 36, (1 0 0)
- 2θ = 31.21°, d 2.866, I = 1000, (1 1 0)
- 2θ = 44.72°, d 2.026, I = 267, (2 0 0)
- 2θ = 50.34°, d 1.812, I = 15, (2 1 0)
- 2θ = 55.54°, d 1.655, I = 405, (2 1 1)
- 2θ = 65.10°, d 1.433, I = 168, (2 2 0)
- 2θ = 69.59°, d 1.351, I = 7, (3 0 0)
- 2θ = 73.96°, d 1.282, I = 177, (3 1 0)

Structure:
Lattice parameters (Å, degrees): 4.053 4.053 4.053 90.00 90.00 90.00
Space group Pm-3m (No. 221)
Unique sites:
Eu (0.000, 0.000, 0.000) x1
Pt (0.500, 0.500, 0.500) x1
O (0.000, 0.500, 0.500) x3

=====

For Sm3Dy4Tm4, a DFT-relaxed cell (PBE, Alexandria) gives the calculated XRD peak list in this record (Cu Kα).
No peak broadening, texture or thermal motion is included.

Largest 10 diffraction maxima, by angle, 10° ≤ 2θ ≤ 80°:
- 2θ = 30.91°, d 2.893, I = 1000, (10 0 1)
- 2θ = 35.80°, d 2.508, I = 338, (11 1 0)
- 2θ = 35.91°, d 2.500, I = 168, (2 0 -2)
- 2θ = 51.58°, d 1.772, I = 360, (9 1 2)
- 2θ = 61.30°, d 1.512, I = 285, (10 2 1)
- 2θ = 61.46°, d 1.509, I = 142, (8 0 3)
- 2θ = 64.39°, d 1.447, I = 31, (20 0 2)
- 2θ = 64.41°, d 1.447, I = 92, (2 2 -2)
- 2θ = 75.86°, d 1.254, I = 38, (22 2 0)
- 2θ = 76.14°, d 1.250, I = 19, (4 0 -4)

Structure:
Lattice parameters (Å, degrees): 39.341 3.547 5.001 90.00 97.29 90.00
Space group C2/m (No. 12)
Unique sites:
Sm (0.000, 0.000, 0.000) x2
Sm (0.137, 0.500, 0.636) x4
Dy (0.046, 0.500, 0.545) x4
Dy (0.183, 0.000, 0.183) x4
Tm (0.091, 0.000, 0.091) x4
Tm (0.228, 0.500, 0.728) x4

=====

For YHgPd5, a DFT-relaxed cell (PBE, Alexandria) gives the calculated XRD peak list in this record (Cu Kα).
No peak broadening, texture or thermal motion is included.

Largest 10 diffraction maxima, by angle, 10° ≤ 2θ ≤ 80°:
- 2θ = 18.92°, d 4.691, I = 970, (0 0 2)
- 2θ = 24.96°, d 3.567, I = 719, (0 2 0)
- 2θ = 28.81°, d 3.099, I = 731, (1 1 2)
- 2θ = 32.14°, d 2.785, I = 791, (1 2 1)
- 2θ = 38.38°, d 2.346, I = 398, (0 0 4)
- 2θ = 38.96°, d 2.312, I = 1000, (2 1 1)
- 2θ = 44.42°, d 2.039, I = 390, (1 1 4)
- 2θ = 46.40°, d 1.957, I = 840, (1 3 2)
- 2θ = 48.00°, d 1.895, I = 504, (0 3 3)
- 2θ = 48.16°, d 1.890, I = 481, (2 2 2)

Structure:
Lattice parameters (Å, degrees): 5.062 7.135 9.382 90.00 90.00 90.00
Space group Imm2 (No. 44)
Unique sites:
Y (0.000, 0.000, 0.000) x2
Hg (0.000, 0.500, 0.180) x2
Pd (0.000, 0.000, 0.503) x2
Pd (0.000, 0.186, 0.744) x4
Pd (0.250, 0.000, 0.260) x4

=====

For RbSnSb3, a DFT-relaxed cell (PBE, Alexandria) gives the calculated XRD peak list in this record (Cu Kα).
No peak broadening, texture or thermal motion is included.

Largest 10 diffraction maxima, by angle, 10° ≤ 2θ ≤ 80°:
- 2θ = 19.17°, d 4.631, I = 180, (0 1 1)
- 2θ = 22.31°, d 3.984, I = 305, (1 1 1)
- 2θ = 25.36°, d 3.512, I = 274, (0 2 1)
- 2θ = 27.85°, d 3.204, I = 530, (1 2 1)
- 2θ = 29.81°, d 2.997, I = 209, (2 2 0)
- 2θ = 29.91°, d 2.987, I = 1000, (2 1 1)
- 2θ = 36.92°, d 2.435, I = 258, (2 3 0)
- 2θ = 42.15°, d 2.144, I = 222, (2 1 2)
- 2θ = 46.47°, d 1.954, I = 177, (4 0 0)
- 2θ = 48.53°, d 1.876, I = 197, (2 4 1)

Structure:
Lattice parameters (Å, degrees): 7.817 9.336 5.333 90.00 90.00 90.00
Space group Pmn2_1 (No. 31)
Unique sites:
Rb (0.000, 0.077, 0.000) x2
Sn (0.000, 0.503, 0.244) x2
Sb (0.000, 0.747, 0.596) x2
Sb (0.248, 0.304, 0.481) x4

=====

For TbNd14Sm, a DFT-relaxed cell (PBE, Alexandria) gives the calculated XRD peak list in this record (Cu Kα).
No peak broadening, texture or thermal motion is included.

Largest 6 diffraction maxima, by angle, 10° ≤ 2θ ≤ 80°:
- 2θ = 29.82°, d 2.996, I = 1000, (2 0 2)
- 2θ = 34.56°, d 2.595, I = 507, (2 2 0)
- 2θ = 49.69°, d 1.835, I = 364, (4 0 0)
- 2θ = 59.03°, d 1.565, I = 434, (4 2 2)
- 2θ = 61.94°, d 1.498, I = 125, (4 0 4)
- 2θ = 72.91°, d 1.298, I = 58, (4 4 0)

Structure:
Lattice parameters (Å, degrees): 7.339 7.339 10.382 90.00 90.00 90.00
Space group P4/mmm (No. 123)
Unique sites:
Tb (0.000, 0.000, 0.000) x1
Nd (0.000, 0.000, 0.500) x1
Nd (0.000, 0.500, 0.000) x2
Nd (0.000, 0.500, 0.500) x2
Nd (0.250, 0.250, 0.249) x8
Nd (0.500, 0.500, 0.500) x1
Sm (0.500, 0.500, 0.000) x1

=====

For SrLiCd2Au, a DFT-relaxed cell (PBE, Alexandria) gives the calculated XRD peak list in this record (Cu Kα).
No peak broadening, texture or thermal motion is included.

Largest 10 diffraction maxima, by angle, 10° ≤ 2θ ≤ 80°:
- 2θ = 16.61°, d 5.337, I = 195, (1 0 0)
- 2θ = 17.90°, d 4.955, I = 739, (0 0 1)
- 2θ = 24.51°, d 3.631, I = 1000, (1 0 1)
- 2θ = 33.58°, d 2.669, I = 779, (2 0 0)
- 2θ = 36.26°, d 2.477, I = 316, (0 0 2)
- 2θ = 38.31°, d 2.350, I = 448, (2 0 1)
- 2θ = 42.01°, d 2.150, I = 491, (2 1 1)
- 2θ = 48.22°, d 1.887, I = 279, (2 2 0)
- 2θ = 50.25°, d 1.816, I = 492, (2 0 2)
- 2θ = 61.80°, d 1.501, I = 262, (2 2 2)

Structure:
Lattice parameters (Å, degrees): 5.337 5.337 4.955 90.00 90.00 90.00
Space group P4/mmm (No. 123)
Unique sites:
Sr (0.000, 0.000, 0.000) x1
Li (0.500, 0.500, 0.000) x1
Cd (0.000, 0.500, 0.500) x2
Au (0.500, 0.500, 0.500) x1

=====

For PmMnGe4, a DFT-relaxed cell (PBE, Alexandria) gives the calculated XRD peak list in this record (Cu Kα).
No peak broadening, texture or thermal motion is included.

Largest 10 diffraction maxima, by angle, 10° ≤ 2θ ≤ 80°:
- 2θ = 24.02°, d 3.705, I = 557, (1 1 0)
- 2θ = 30.33°, d 2.947, I = 861, (1 1 2)
- 2θ = 32.47°, d 2.757, I = 512, (1 0 3)
- 2θ = 35.48°, d 2.530, I = 1000, (2 0 1)
- 2θ = 36.96°, d 2.432, I = 362, (0 0 4)
- 2θ = 39.05°, d 2.307, I = 367, (2 0 2)
- 2θ = 39.56°, d 2.278, I = 293, (2 1 1)
- 2θ = 44.46°, d 2.038, I = 309, (2 0 3)
- 2θ = 52.88°, d 1.731, I = 801, (2 2 2)
- 2θ = 62.00°, d 1.497, I = 271, (2 1 5)

Structure:
Lattice parameters (Å, degrees): 5.240 5.240 9.727 90.00 90.00 90.00
Space group P4_2/nmc (No. 137, origin choice 2)
Unique sites:
Pm (0.250, 0.750, 0.250) x2
Mn (0.250, 0.750, 0.750) x2
Ge (0.010, 0.250, 0.039) x8

=====

For InRu3Br, a DFT-relaxed cell (PBE, Alexandria) gives the calculated XRD peak list in this record (Cu Kα).
No peak broadening, texture or thermal motion is included.

Largest 10 diffraction maxima, by angle, 10° ≤ 2θ ≤ 80°:
- 2θ = 19.43°, d 4.567, I = 120, (1 0 0)
- 2θ = 27.62°, d 3.230, I = 186, (1 1 0)
- 2θ = 34.00°, d 2.637, I = 930, (1 1 1)
- 2θ = 39.46°, d 2.284, I = 1000, (2 0 0)
- 2θ = 44.35°, d 2.043, I = 51, (2 1 0)
- 2θ = 48.84°, d 1.865, I = 75, (2 1 1)
- 2θ = 57.03°, d 1.615, I = 664, (2 2 0)
- 2θ = 68.09°, d 1.377, I = 352, (3 1 1)
- 2θ = 71.56°, d 1.318, I = 221, (2 2 2)
- 2θ = 78.33°, d 1.221, I = 37, (3 2 1)

Structure:
Lattice parameters (Å, degrees): 4.567 4.567 4.567 90.00 90.00 90.00
Space group Pm-3m (No. 221)
Unique sites:
In (0.000, 0.000, 0.000) x1
Ru (0.000, 0.500, 0.500) x3
Br (0.500, 0.500, 0.500) x1